Record 1
This entry pairs a crystal structure of Ba3NaRh2O9 with its calculated PXRD pattern. Radiation: CuKα. Structure: DFT lattice parameters and positions (GGA-PBE).

Atomic structure:
```
15
Lattice="5.8616 0.0000 0.0000 -2.9308 5.0763 0.0000 0.0000 0.0000 7.2517" Properties=species:S:1:pos:R:3 pbc="T T T"
Ba 0.0000 0.0000 0.0000
Ba 0.0000 3.3842 4.8216
Ba 2.9308 1.6921 2.4301
Na 0.0000 0.0000 3.6259
Rh 0.0000 3.3842 1.1960
Rh 2.9308 1.6921 6.0557
O -1.4654 2.5382 0.0000
O 0.0000 1.8121 2.2700
O -1.3615 4.1703 2.2700
O 1.5693 0.9060 4.9817
O 2.9308 0.0000 0.0000
O 1.4654 2.5382 0.0000
O 1.3615 4.1703 2.2700
O 4.2923 0.9060 4.9817
O 2.9308 3.2643 4.9817
```

Most intense lines, 10 to 90 degrees two-theta, by angle:
hkl 0 1 2, d 2.951, I = 100.0
hkl 1 1 0, d 2.931, I = 95.5
hkl 2 0 2, d 2.079, I = 62.1
hkl 1 0 4, d 1.707, I = 19.5
hkl 1 2 2, d 1.696, I = 39.2
hkl 0 2 4, d 1.475, I = 19.0

***

Record 2
This entry pairs a crystal structure of Ba3NaRu2O9 with its calculated PXRD pattern. Radiation: CuKα. Structure: DFT lattice parameters and positions (GGA-PBE).

Atomic structure:
```
60
Lattice="14.5889 0.0000 0.0000 0.0000 5.9598 0.0000 0.0000 0.0000 10.3089" Properties=species:S:1:pos:R:3 pbc="T T T"
Ba 1.2476 0.0000 1.6723
Ba 1.3928 2.9799 6.9453
Ba 3.6472 0.0000 5.1508
Ba 3.6472 2.9799 0.0500
Ba 5.9017 2.9799 6.9453
Ba 6.0469 0.0000 1.6723
Ba 8.5420 0.0000 8.6366
Ba 8.6873 2.9799 3.3637
Ba 10.9417 0.0000 5.1581
Ba 10.9417 2.9799 10.2590
Ba 13.1961 2.9799 3.3637
Ba 13.3414 0.0000 8.6366
Na 0.0000 0.0000 5.1545
Na 0.0000 2.9799 0.0000
Na 7.2945 0.0000 5.1545
Na 7.2945 2.9799 0.0000
Ru 2.2422 2.9799 3.4571
Ru 2.3837 0.0000 8.6068
Ru 4.9107 0.0000 8.6068
Ru 5.0523 2.9799 3.4571
Ru 9.5366 2.9799 6.8518
Ru 9.6782 0.0000 1.7021
Ru 12.2052 0.0000 1.7021
Ru 12.3468 2.9799 6.8518
O 1.2779 2.9799 1.8531
O 1.3197 1.5760 4.2505
O 1.3197 4.3837 4.2505
O 1.3440 0.0000 7.0256
O 1.3447 1.3725 9.4061
O 1.3447 4.5873 9.4061
O 3.6472 0.0000 10.2450
O 3.6472 1.4215 7.7851
O 3.6472 1.6750 2.6869
O 3.6472 2.9799 4.9832
O 3.6472 4.2848 2.6869
O 3.6472 4.5383 7.7851
O 5.9504 0.0000 7.0256
O 5.9497 1.3725 9.4061
O 5.9497 4.5873 9.4061
O 5.9747 1.5760 4.2505
O 5.9747 4.3837 4.2505
O 6.0165 2.9799 1.8531
O 8.5724 2.9799 8.4558
O 8.6142 1.5760 6.0584
O 8.6142 4.3837 6.0584
O 8.6385 0.0000 3.2833
O 8.6392 1.3725 0.9028
O 8.6392 4.5873 0.9028
O 10.9417 0.0000 0.0639
O 10.9417 1.4215 2.5238
O 10.9417 1.6750 7.6221
O 10.9417 2.9799 5.3257
O 10.9417 4.2848 7.6221
O 10.9417 4.5383 2.5238
O 13.2449 0.0000 3.2833
O 13.2442 1.3725 0.9028
O 13.2442 4.5873 0.9028
O 13.2692 1.5760 6.0584
O 13.2692 4.3837 6.0584
O 13.3110 2.9799 8.4558
```

Most intense lines, 10 to 90 degrees two-theta, by angle:
hkl 3 1 1, d 3.538, I = 17.6
hkl 0 2 0, d 2.978, I = 100.0
hkl 4 2 2, d 2.106, I = 21.9
hkl 5 2 2, d 1.932, I = 14.9
hkl 0 3 3, d 1.719, I = 27.3
hkl 0 4 0, d 1.489, I = 15.6